Starting from a cell relaxed with GGA-PBE, the powder X-ray diffraction pattern of BaCu4S3 was simulated for Cu Kα (λ = 1.5418 Å).
Neutral-atom scattering factors, no anomalous dispersion.

Largest 12 diffraction maxima, low angle first, 15 to 90 degrees two-theta:
d 3.603, I = 34, (1 1 1)
d 3.204, I = 42, (1 0 4)
d 2.975, I = 62, (0 1 3)
d 2.869, I = 88, (1 1 3)
d 2.851, I = 100, (2 0 4)
d 2.625, I = 94, (3 1 1)
d 2.240, I = 39, (4 1 0)
d 2.180, I = 29, (1 1 5)
d 1.993, I = 67, (0 2 0)
d 1.863, I = 28, (4 1 4)
d 1.752, I = 30, (5 1 3)
d 1.633, I = 36, (2 2 4)

```
BaCu4S3
1.0
10.8359 0.0000 0.0000
0.0000 3.9850 0.0000
0.0000 0.0000 13.4140
Ba Cu S
4 16 12
Direct
0.2240 0.2500 0.0195 Ba
0.2760 0.7500 0.5195 Ba
0.7240 0.2500 0.4805 Ba
0.7760 0.7500 0.9805 Ba
0.0349 0.2500 0.3985 Cu
0.0505 0.7500 0.8454 Cu
0.0833 0.7500 0.2757 Cu
0.1789 0.2500 0.7524 Cu
0.3211 0.7500 0.2524 Cu
0.4167 0.2500 0.7757 Cu
0.4495 0.2500 0.3454 Cu
0.4651 0.7500 0.8985 Cu
0.5349 0.2500 0.1015 Cu
0.5505 0.7500 0.6546 Cu
0.5833 0.7500 0.2243 Cu
0.6789 0.2500 0.7476 Cu
0.8211 0.7500 0.2476 Cu
0.9167 0.2500 0.7243 Cu
0.9495 0.2500 0.1546 Cu
0.9651 0.7500 0.6015 Cu
0.0342 0.7500 0.1102 S
0.0715 0.2500 0.6010 S
0.2344 0.2500 0.3227 S
0.2656 0.7500 0.8227 S
0.4285 0.7500 0.1010 S
0.4658 0.2500 0.6102 S
0.5342 0.7500 0.3898 S
0.5715 0.2500 0.8990 S
0.7344 0.2500 0.1773 S
0.7656 0.7500 0.6773 S
0.9285 0.7500 0.3990 S
0.9658 0.2500 0.8898 S
```